(1)
Structure and computed XRD peak list of Sm3TlAg4 (a cell relaxed with GGA-PBE; copper Kα).
Lines closer than 0.1° are merged.

Crystal structure
abc: 3.733 7.576 15.074
angles: 90.00 90.00 90.00
Space group Immm (No. 71)
Inequivalent atoms, fractional coordinates:
Sm1 0.000 0.000 0.000 (multiplicity 2)
Sm2 0.000 0.500 0.183 (multiplicity 4)
Tl1 0.000 0.000 0.500 (multiplicity 2)
Ag1 0.000 0.312 0.361 (multiplicity 8)

Principal peaks in the range 2θ from 10° to 80°, by angle:
d/Å, intensity
3.060, 1000
2.672, 399
2.503, 510
2.349, 638
1.866, 325
1.400, 331


(2)
Structure and computed XRD peak list of Si23Ir (a cell relaxed with GGA-PBE; copper Kα).
Lines closer than 0.1° are merged.

Crystal structure
abc: 10.161 10.161 10.161
angles: 90.00 90.00 90.00
Space group Pm-3n (No. 223)
Inequivalent atoms, fractional coordinates:
Si1 0.000 0.116 0.311 (multiplicity 24)
Si2 0.000 0.250 0.500 (multiplicity 6)
Si3 0.178 0.178 0.178 (multiplicity 16)
Ir1 0.000 0.000 0.000 (multiplicity 2)

Principal peaks in the range 2θ from 10° to 80°, by angle:
d/Å, intensity
7.185, 1000
4.544, 185
2.716, 880
2.395, 262
1.993, 174
1.648, 326


(3)
Structure and computed XRD peak list of LaCu4Tc (a cell relaxed with GGA-PBE; copper Kα).
Lines closer than 0.1° are merged.

Crystal structure
abc: 7.182 7.182 7.182
angles: 90.00 90.00 90.00
Space group F-43m (No. 216)
Inequivalent atoms, fractional coordinates:
La1 0.000 0.000 0.000 (multiplicity 4)
Cu1 0.123 0.123 0.377 (multiplicity 16)
Tc1 0.250 0.250 0.750 (multiplicity 4)

Principal peaks in the range 2θ from 10° to 80°, by angle:
d/Å, intensity
2.539, 477
2.165, 1000
2.073, 240
1.466, 170
1.382, 299
1.270, 229


(4)
Structure and computed XRD peak list of Ca3Ac4Ni2 (a cell relaxed with GGA-PBE; copper Kα).
Lines closer than 0.1° are merged.

Crystal structure
abc: 19.384 4.095 9.958
angles: 90.00 117.95 90.00
Space group C2/m (No. 12)
Inequivalent atoms, fractional coordinates:
Ca1 0.000 0.000 0.000 (multiplicity 2)
Ca2 0.140 0.500 0.819 (multiplicity 4)
Ac1 0.073 0.000 0.423 (multiplicity 4)
Ac2 0.202 0.500 0.281 (multiplicity 4)
Ni1 0.184 0.500 0.574 (multiplicity 4)

Principal peaks in the range 2θ from 10° to 80°, by angle:
d/Å, intensity
8.797, 1000
3.328, 703
3.224, 483
3.188, 268
2.807, 260
2.627, 274


(5)
Structure and computed XRD peak list of Nd2Si3Pt2 (a cell relaxed with GGA-PBE; copper Kα).
Lines closer than 0.1° are merged.

Crystal structure
abc: 4.297 17.967 6.990
angles: 90.00 90.00 90.00
Space group Cmcm (No. 63)
Inequivalent atoms, fractional coordinates:
Nd1 0.000 0.056 0.250 (multiplicity 4)
Nd2 0.000 0.153 0.750 (multiplicity 4)
Si1 0.000 0.226 0.250 (multiplicity 4)
Si2 0.000 0.440 0.072 (multiplicity 8)
Pt1 0.000 0.308 0.547 (multiplicity 8)

Principal peaks in the range 2θ from 10° to 80°, by angle:
d/Å, intensity
2.755, 835
2.681, 1000
2.564, 835
2.470, 706
2.148, 559
2.068, 568


(6)
Structure and computed XRD peak list of V2ReIr4 (a cell relaxed with GGA-PBE; copper Kα).
Lines closer than 0.1° are merged.

Crystal structure
abc: 5.260 9.998 3.990
angles: 90.00 90.00 90.00
Space group Pbam (No. 55)
Inequivalent atoms, fractional coordinates:
V1 0.150 0.135 0.000 (multiplicity 4)
Re1 0.000 0.000 0.500 (multiplicity 2)
Ir1 0.115 0.735 0.500 (multiplicity 4)
Ir2 0.165 0.396 0.000 (multiplicity 4)

Principal peaks in the range 2θ from 10° to 80°, by angle:
d/Å, intensity
3.029, 427
2.682, 331
2.145, 939
2.118, 1000
2.065, 521
1.995, 490